# Ca3Pr2Pd2
Computed X-ray powder pattern, Cu Kα (weighted mean of Kα1 and Kα2). Input: a crystal structure in Alexandria, relaxed with GGA-PBE.
No peak broadening, texture or thermal motion is included.

Principal peaks in the range 10 to 90 degrees two-theta, in order of falling intensity:
| 2theta | I (rel.) |
| --- | --- |
| 31.0 | 1000 |
| 32.5 | 997 |
| 33.0 | 810 |
| 15.3 | 722 |
| 29.7 | 683 |
| 21.0 | 569 |

Structural model:
```
data_Ca3Pr2Pd2
_chemical_formula_sum 'Ca6 Pr4 Pd4'
_cell_length_a 12.723
_cell_length_b 3.948
_cell_length_c 9.335
_cell_angle_alpha 90.00
_cell_angle_beta 114.83
_cell_angle_gamma 90.00
_space_group_name_H-M_alt 'C 1 2/m 1'
_space_group_IT_number 12
_space_group_name_Hall '-C 2y'
loop_
_atom_site_label
_atom_site_type_symbol
_atom_site_fract_x
_atom_site_fract_y
_atom_site_fract_z
Ca1 Ca 0.000 0.000 0.000
Ca2 Ca 0.119 0.000 0.432
Pr1 Pr 0.172 0.500 0.817
Pd1 Pd 0.175 0.500 0.228
```